1.
Diffraction record for BaYMgFeCuO5. The X-ray diffraction stick pattern is calculated, not measured: it uses a structure optimized by DFT (PBE+U) and λ = 1.5418 Å (Cu Kα).

Main lines, low angle first (2θ from 10° to 80°):
| (hkl) | d [Å] | I_rel |
| --- | --- | --- |
| 0 0 3 | 3.164 | 30.8 |
| 1 0 2 | 3.023 | 100.0 |
| 1 1 0 | 2.773 | 70.0 |
| 1 0 3 | 2.462 | 50.5 |
| 1 1 3 | 2.085 | 39.6 |
| 2 0 0 | 1.961 | 48.1 |
| 1 0 5 | 1.709 | 17.7 |
| 2 0 3 | 1.667 | 17.7 |
| 2 1 2 | 1.645 | 31.9 |
| 2 1 3 | 1.534 | 22.4 |

a = 3.9213 Å, b = 3.9213 Å, c = 9.4919 Å
α = 90.00°, β = 90.00°, γ = 90.00°
Space group P4mm (No. 99)
One atom of each set of equivalent atoms:
Ba: 0.0000 0.0000 0.0000 x1
Y: 0.0000 0.0000 0.3674 x1
Mg: 0.0000 0.0000 0.6513 x1
Fe: 0.5000 0.5000 0.6872 x1
Cu: 0.5000 0.5000 0.2293 x1
O: 0.0000 0.5000 0.2401 x2
O: 0.0000 0.5000 0.5809 x2
O: 0.5000 0.5000 0.8953 x1



2.
Diffraction record for Li8Mn5Fe3B8O24. The X-ray diffraction stick pattern is calculated, not measured: it uses a structure optimized by DFT (PBE+U) and λ = 1.5418 Å (Cu Kα).

Main lines, low angle first (2θ from 10° to 80°):
| (hkl) | d [Å] | I_rel |
| --- | --- | --- |
| 1 -1 0 | 4.539 | 65.9 |
| -1 1 2 | 4.162 | 37.8 |
| 0 1 2 | 4.129 | 60.8 |
| 0 1 -4 | 3.476 | 45.0 |
| 0 1 4 | 3.387 | 29.3 |
| 2 -1 0 | 2.622 | 85.8 |
| 0 0 8 | 2.616 | 100.0 |
| 2 0 -2 | 2.232 | 45.4 |
| -2 2 2 | 2.217 | 22.8 |
| 1 0 10 | 1.882 | 40.4 |

a = 5.2408 Å, b = 5.2424 Å, c = 20.9357 Å
α = 90.75°, β = 90.97°, γ = 119.86°
Space group P1 (No. 1)
One atom of each set of equivalent atoms:
Li: 0.0000 0.0000 0.0000 x1
Li: 0.9995 0.0004 0.5004 x1
Li: 0.3021 0.3410 0.3754 x1
Li: 0.3046 0.3404 0.8761 x1
Li: 0.3298 0.3142 0.1253 x1
Li: 0.3303 0.3136 0.6257 x1
Li: 0.9894 0.0091 0.7502 x1
Li: 0.9891 0.0110 0.2501 x1
Mn: 0.3203 0.6656 0.7340 x1
Mn: 0.3253 0.6681 0.2323 x1
Mn: 0.6542 0.3332 0.4830 x1
Mn: 0.6545 0.9852 0.6082 x1
Mn: 0.9745 0.6654 0.3578 x1
Fe: 0.6553 0.9831 0.1070 x1
Fe: 0.6585 0.3286 0.9829 x1
Fe: 0.9673 0.6644 0.8586 x1
B: 0.3167 0.6670 0.4796 x1
B: 0.3171 0.6670 0.9796 x1
B: 0.6472 0.0007 0.8554 x1
B: 0.6481 0.0035 0.3545 x1
B: 0.6555 0.3280 0.7302 x1
B: 0.6571 0.3280 0.2287 x1
B: 0.9889 0.6586 0.1041 x1
B: 0.9925 0.6594 0.6047 x1
O: 0.0100 0.9330 0.0975 x1
O: 0.0227 0.9351 0.5976 x1
O: 0.0678 0.6917 0.9649 x1
O: 0.0737 0.7009 0.4643 x1
O: 0.2301 0.6283 0.6254 x1
O: 0.2362 0.6412 0.1232 x1
O: 0.2914 0.3927 0.4723 x1
O: 0.3042 0.3986 0.9731 x1
O: 0.3811 0.3032 0.7228 x1
O: 0.3822 0.3034 0.2218 x1
O: 0.3917 0.7330 0.8413 x1
O: 0.3979 0.7318 0.3394 x1
O: 0.5800 0.9184 0.9995 x1
O: 0.5817 0.9093 0.5007 x1
O: 0.6172 0.2408 0.3751 x1
O: 0.6282 0.2463 0.8743 x1
O: 0.6890 0.0849 0.7149 x1
O: 0.6900 0.0854 0.2131 x1
O: 0.7209 0.4045 0.0899 x1
O: 0.7206 0.4090 0.5896 x1
O: 0.8976 0.5922 0.7515 x1
O: 0.8997 0.5923 0.2501 x1
O: 0.9216 0.0220 0.8488 x1
O: 0.9239 0.0338 0.3472 x1



3.
Diffraction record for Li2MnVP3O12. The X-ray diffraction stick pattern is calculated, not measured: it uses a structure optimized by DFT (PBE+U) and λ = 1.5418 Å (Cu Kα).

Main lines, low angle first (2θ from 10° to 80°):
| (hkl) | d [Å] | I_rel |
| --- | --- | --- |
| 0 1 0 | 6.379 | 65.6 |
| 1 1 1 | 6.039 | 82.4 |
| 1 0 1 | 4.544 | 69.1 |
| 1 1 -1 | 4.452 | 48.4 |
| 0 1 2 | 4.355 | 53.9 |
| 1 -1 0 | 3.817 | 62.1 |
| 1 2 0 | 3.755 | 48.6 |
| -1 1 2 | 3.623 | 100.0 |
| 0 2 0 | 3.189 | 54.7 |
| 2 2 2 | 3.019 | 51.5 |

a = 8.3109 Å, b = 8.4970 Å, c = 8.7369 Å
α = 62.58°, β = 89.40°, γ = 61.41°
Space group P1 (No. 1)
One atom of each set of equivalent atoms:
Li: 0.0000 0.0000 0.0000 x1
Li: 0.1476 0.9424 0.3372 x1
Li: 0.3341 0.2934 0.2722 x1
Li: 0.7537 0.8152 0.5708 x1
Mn: 0.0686 0.5839 0.3700 x1
Mn: 0.7592 0.1962 0.4772 x1
V: 0.2719 0.1771 0.9810 x1
V: 0.5526 0.6077 0.8515 x1
P: 0.1671 0.6654 0.6728 x1
P: 0.3796 0.6768 0.1746 x1
P: 0.4581 0.0952 0.6651 x1
P: 0.6606 0.1143 0.1642 x1
P: 0.8757 0.3935 0.6726 x1
P: 0.9452 0.3899 0.1706 x1
O: 0.0243 0.2549 0.8582 x1
O: 0.1503 0.2611 0.1517 x1
O: 0.1902 0.6502 0.4990 x1
O: 0.2261 0.4514 0.8391 x1
O: 0.2298 0.6108 0.1952 x1
O: 0.2690 0.9028 0.1457 x1
O: 0.2830 0.2539 0.5039 x1
O: 0.3087 0.7290 0.6905 x1
O: 0.3982 0.0838 0.8393 x1
O: 0.4175 0.7057 0.9902 x1
O: 0.5128 0.0576 0.1436 x1
O: 0.5455 0.8753 0.6906 x1
O: 0.5603 0.5248 0.3230 x1
O: 0.5982 0.3299 0.0031 x1
O: 0.6108 0.1512 0.6495 x1
O: 0.6359 0.1260 0.3401 x1
O: 0.6782 0.5189 0.6962 x1
O: 0.7962 0.5171 0.9930 x1
O: 0.8645 0.9497 0.1866 x1
O: 0.8927 0.2344 0.6268 x1
O: 0.9058 0.5669 0.5338 x1
O: 0.9282 0.2081 0.3192 x1
O: 0.9399 0.5397 0.2242 x1
O: 0.9634 0.8342 0.6418 x1